(1)
Computed X-ray diffraction stick pattern of V2Te2O9 for Cu Kα, from the PBE+U geometry in Alexandria.

The 6 most intense peaks (2θ = 10–90°), by intensity:
Position (°2θ), intensity, (hkl)
25.21, 100.0, 0 2 2
19.61, 42.0, 0 1 2
28.13, 29.6, 2 1 1
49.01, 25.8, 2 2 4
30.47, 25.2, 2 2 0
30.09, 25.1, 2 1 -2

Cell and atoms:
```
data_V2Te2O9
_space_group_name_H-M_alt 'P 1 21/c 1'
_space_group_IT_number 14
_cell_length_a 7.3623
_cell_length_b 9.7898
_cell_length_c 10.2547
_cell_angle_alpha 90.00
_cell_angle_beta 95.31
_cell_angle_gamma 90.00
loop_
_space_group_symop_operation_xyz
'x,y,z'
'-x,-y,-z'
'-x,y+1/2,-z+1/2'
'x,-y+1/2,z+1/2'
loop_
_atom_site_label
_atom_site_type_symbol
_atom_site_fract_x
_atom_site_fract_y
_atom_site_fract_z
V1 V 0.0074 0.2490 0.4584
V2 V 0.2925 0.0305 0.2706
Te1 Te 0.1366 0.5183 0.2910
Te2 Te 0.4456 0.7222 0.5627
O1 O 0.0667 0.1332 0.3098
O2 O 0.0850 0.1441 0.5751
O3 O 0.0941 0.5638 0.6758
O4 O 0.1631 0.6498 0.4316
O5 O 0.1968 0.1402 0.9448
O6 O 0.2356 0.6945 0.1251
O7 O 0.3502 0.5515 0.9055
O8 O 0.4150 0.1925 0.2849
O9 O 0.4441 0.5481 0.6507
```



(2)
Computed X-ray diffraction stick pattern of V2Te2O9 for Cu Kα, from the PBE+U geometry in Alexandria.

The 6 most intense peaks (2θ = 10–90°), by intensity:
Position (°2θ), intensity, (hkl)
25.37, 100.0, 0 2 2
23.47, 85.7, 1 5 1
28.44, 83.2, 2 4 0
27.98, 75.7, 1 7 1
40.53, 52.5, 2 6 2
24.64, 45.8, 0 8 0

Cell and atoms:
```
data_V2Te2O9
_space_group_name_H-M_alt 'F d d 2'
_space_group_IT_number 43
_space_group_name_Hall 'F 2 -2d'
_cell_length_a 6.9683
_cell_length_b 28.9024
_cell_length_c 7.2388
_cell_angle_alpha 90.00
_cell_angle_beta 90.00
_cell_angle_gamma 90.00
loop_
_atom_site_label
_atom_site_type_symbol
_atom_site_fract_x
_atom_site_fract_y
_atom_site_fract_z
V1 V 0.0586 0.3410 0.0000
Te1 Te 0.0750 0.2996 0.5397
O1 O 0.0000 0.0000 0.3621
O2 O 0.0086 0.1942 0.2877
O3 O 0.0154 0.4034 0.7913
O4 O 0.0443 0.3920 0.1759
O5 O 0.1111 0.2983 0.1410
```



(3)
Computed X-ray diffraction stick pattern of VTeO5 for Cu Kα, from the PBE+U geometry in Alexandria.

The 6 most intense peaks (2θ = 10–90°), by intensity:
Position (°2θ), intensity, (hkl)
17.35, 100.0, 1 1 -1
26.18, 98.4, 1 1 -2
26.35, 79.8, 2 0 0
26.02, 66.8, 0 2 1
31.98, 46.4, 2 2 -1
36.02, 38.4, 1 3 0

Cell and atoms:
```
data_VTeO5
_space_group_name_H-M_alt 'C 1 c 1'
_space_group_IT_number 9
_cell_length_a 7.7948
_cell_length_b 8.0454
_cell_length_c 7.5153
_cell_angle_alpha 90.00
_cell_angle_beta 119.78
_cell_angle_gamma 90.00
loop_
_space_group_symop_operation_xyz
'x,y,z'
'x,-y,z+1/2'
'x+1/2,y+1/2,z'
'x+1/2,-y+1/2,z+1/2'
loop_
_atom_site_label
_atom_site_type_symbol
_atom_site_fract_x
_atom_site_fract_y
_atom_site_fract_z
V1 V 0.0000 0.0073 0.0000
Te1 Te 0.4984 0.1282 0.7783
O1 O 0.0013 0.0380 0.7788
O2 O 0.0242 0.2453 0.4976
O3 O 0.2062 0.4803 0.8735
O4 O 0.2933 0.0221 0.1902
O5 O 0.4685 0.2493 0.5547
```



(4)
Computed X-ray diffraction stick pattern of YVTe2O8 for Cu Kα, from the PBE+U geometry in Alexandria.

The 6 most intense peaks (2θ = 10–90°), by intensity:
Position (°2θ), intensity, (hkl)
29.31, 100.0, 2 0 4
27.02, 85.0, 0 2 4
46.97, 41.1, 2 2 8
32.50, 40.3, 2 2 0
21.78, 32.4, 0 2 1
32.97, 24.8, 0 0 8

Cell and atoms:
```
data_YVTe2O8
_space_group_name_H-M_alt 'C m c e'
_space_group_IT_number 64
_space_group_name_Hall '-C 2ac 2'
_cell_length_a 7.3625
_cell_length_b 8.3083
_cell_length_c 21.7328
_cell_angle_alpha 90.00
_cell_angle_beta 90.00
_cell_angle_gamma 90.00
loop_
_atom_site_label
_atom_site_type_symbol
_atom_site_fract_x
_atom_site_fract_y
_atom_site_fract_z
Y1 Y 0.2486 0.0000 0.0000
V1 V 0.2500 0.0176 0.2500
Te1 Te 0.0000 0.1906 0.1309
Te2 Te 0.0000 0.1968 0.3890
O1 O 0.0000 0.0049 0.5670
O2 O 0.0000 0.0555 0.2659
O3 O 0.0000 0.0670 0.0581
O4 O 0.1981 0.2374 0.9407
O5 O 0.1997 0.0628 0.1639
O6 O 0.2500 0.1807 0.7500
```